# Li3Ag
Computed XRD peak list, CuKα. Input: a GGA-PBE-relaxed structure.
Kinematic intensities with the Lorentz-polarization factor, no thermal factor.

Top 10 peaks for 2θ from 15° to 90°, by angle:
2θ = 23.9°, 3.724 Å, I = 100, (1 1 1); 2θ = 27.7°, 3.225 Å, I = 52, (2 0 0); 2θ = 39.5°, 2.280 Å, I = 56, (2 2 0); 2θ = 46.7°, 1.945 Å, I = 48, (3 1 1); 2θ = 48.9°, 1.862 Å, I = 14, (2 2 2); 2θ = 57.1°, 1.612 Å, I = 9, (4 0 0); 2θ = 62.8°, 1.480 Å, I = 19, (3 3 1); 2θ = 64.6°, 1.442 Å, I = 17, (4 2 0); 2θ = 71.7°, 1.316 Å, I = 18, (4 2 2); 2θ = 76.8°, 1.241 Å, I = 14, (5 1 1)

Crystal structure
a b c (Å): 6.4495 6.4495 6.4495
angles (deg): 90.00 90.00 90.00
Element x y z (fractional)
Li (0.0000, 0.0000, 0.0000)
Li (0.0000, 0.5000, 0.5000)
Li (0.2500, 0.2500, 0.2500)
Li (0.2500, 0.2500, 0.7500)
Li (0.2500, 0.7500, 0.2500)
Li (0.2500, 0.7500, 0.7500)
Li (0.5000, 0.0000, 0.5000)
Li (0.5000, 0.5000, 0.0000)
Li (0.7500, 0.2500, 0.2500)
Li (0.7500, 0.2500, 0.7500)
Li (0.7500, 0.7500, 0.2500)
Li (0.7500, 0.7500, 0.7500)
Ag (0.0000, 0.0000, 0.5000)
Ag (0.0000, 0.5000, 0.0000)
Ag (0.5000, 0.0000, 0.0000)
Ag (0.5000, 0.5000, 0.5000)